No. 1
Starting from a crystal structure in Alexandria, relaxed with PBE, the powder diffraction line list of Sm3NbO7 was computed for λ = 1.5418 Å (Cu Kα).
Kinematic intensities with the Lorentz-polarization factor, no thermal factor.

Structural model:
```
Sm3NbO7
1.0
7.5997 0.0000 0.0000
0.0000 10.8422 0.0000
0.0000 0.0000 7.7017
Sm Nb O
12 4 28
Direct
0.0144 0.2500 0.2035
0.2493 0.5232 0.0397
0.2493 0.9768 0.0397
0.2507 0.0232 0.5397
0.2507 0.4768 0.5397
0.4856 0.7500 0.7035
0.5144 0.2500 0.2965
0.7493 0.5232 0.4603
0.7493 0.9768 0.4603
0.7507 0.0232 0.9603
0.7507 0.4768 0.9603
0.9856 0.7500 0.7965
0.0052 0.2500 0.7468
0.4948 0.7500 0.2468
0.5052 0.2500 0.7532
0.9948 0.7500 0.2532
0.0369 0.1260 0.9524
0.0369 0.3740 0.9524
0.0430 0.6115 0.4063
0.0430 0.8885 0.4063
0.2427 0.6167 0.7698
0.2427 0.8833 0.7698
0.2481 0.2500 0.6659
0.2519 0.7500 0.1659
0.2573 0.1167 0.2698
0.2573 0.3833 0.2698
0.4570 0.1115 0.9063
0.4570 0.3885 0.9063
0.4631 0.6260 0.4524
0.4631 0.8740 0.4524
0.5369 0.1260 0.5476
0.5369 0.3740 0.5476
0.5430 0.6115 0.0937
0.5430 0.8885 0.0937
0.7427 0.6167 0.7302
0.7427 0.8833 0.7302
0.7481 0.2500 0.8341
0.7519 0.7500 0.3341
0.7573 0.1167 0.2302
0.7573 0.3833 0.2302
0.9570 0.1115 0.5937
0.9570 0.3885 0.5937
0.9631 0.6260 0.0476
0.9631 0.8740 0.0476
```

Main lines, low angle first (10 to 90 degrees two-theta):
2θ 28.43, d = 3.139 Å, I = 901; 2θ 28.69, d = 3.112 Å, I = 1000; 2θ 33.10, d = 2.707 Å, I = 653; 2θ 47.49, d = 1.915 Å, I = 458; 2θ 56.20, d = 1.637 Å, I = 210; 2θ 56.63, d = 1.625 Å, I = 247

---

No. 2
Starting from a crystal structure in Alexandria, relaxed with PBE, the powder diffraction line list of Sr2AcCrN4 was computed for λ = 1.5418 Å (Cu Kα).
Kinematic intensities with the Lorentz-polarization factor, no thermal factor.

Structural model:
```
Sr2AcCrN4
1.0
1.7774 -6.1116 0.0000
1.7774 6.1116 0.0000
0.0000 0.0000 12.6537
Sr Ac Cr N
4 2 2 8
Direct
0.1319 0.8681 0.5397
0.1319 0.8681 0.9603
0.8681 0.1319 0.0397
0.8681 0.1319 0.4603
0.4213 0.5787 0.7500
0.5787 0.4213 0.2500
0.3121 0.6879 0.2500
0.6879 0.3121 0.7500
0.1067 0.8933 0.7500
0.2253 0.7747 0.1446
0.2253 0.7747 0.3554
0.5000 0.5000 0.0000
0.5000 0.5000 0.5000
0.7747 0.2253 0.6446
0.7747 0.2253 0.8554
0.8933 0.1067 0.2500
```

Main lines, low angle first (10 to 90 degrees two-theta):
2θ 25.66, d = 3.471 Å, I = 513; 2θ 28.21, d = 3.163 Å, I = 468; 2θ 29.74, d = 3.004 Å, I = 1000; 2θ 30.08, d = 2.970 Å, I = 339; 2θ 34.22, d = 2.621 Å, I = 722; 2θ 49.55, d = 1.840 Å, I = 316

---

No. 3
Starting from a crystal structure in Alexandria, relaxed with PBE, the powder diffraction line list of Zn9Ag3Au2 was computed for λ = 1.5418 Å (Cu Kα).
Kinematic intensities with the Lorentz-polarization factor, no thermal factor.

Structural model:
```
Zn9Ag3Au2
1.0
5.3332 -5.0042 0.0000
5.3332 5.0042 0.0000
-1.1473 0.0000 4.3327
Zn Ag Au
9 3 2
Direct
0.0000 0.0000 0.0000
0.1005 0.6280 0.9287
0.2271 0.4806 0.4298
0.3720 0.8995 0.0713
0.4806 0.2271 0.4298
0.5194 0.7729 0.5702
0.6280 0.1005 0.9287
0.7729 0.5194 0.5702
0.8995 0.3720 0.0713
0.2331 0.2331 0.8528
0.5000 0.5000 0.0000
0.7669 0.7669 0.1472
0.1504 0.8496 0.5000
0.8496 0.1504 0.5000
```

Main lines, low angle first (10 to 90 degrees two-theta):
2θ 37.57, d = 2.394 Å, I = 308; 2θ 38.43, d = 2.342 Å, I = 377; 2θ 39.63, d = 2.274 Å, I = 286; 2θ 40.10, d = 2.249 Å, I = 466; 2θ 40.84, d = 2.209 Å, I = 290; 2θ 41.69, d = 2.167 Å, I = 1000